# 1
HgP2Pd2O8: simulated powder diffractogram (Cu Kα, 1.54184 Å), based on a DFT-relaxed cell (GGA-PBE, OQMD).

Most intense lines, 2θ = 10–90°, low angle first:
Position (°2θ)  I (rel.)
22.5  86.8
27.5  100.0
30.1  27.3
31.9  69.9
32.2  42.6
37.8  41.5
39.1  27.9
40.0  27.0
42.4  32.6
57.7  20.9

Structural model:
```
data_HgP2Pd2O8
_cell_length_a 9.758
_cell_length_b 8.683
_cell_length_c 6.647
_cell_angle_alpha 77.81
_cell_angle_beta 60.44
_cell_angle_gamma 41.75
_space_group_name_H-M_alt 'P 1'
_space_group_IT_number 1
loop_
_space_group_symop_operation_xyz
'x,y,z'
loop_
_atom_site_label
_atom_site_fract_x
_atom_site_fract_y
_atom_site_fract_z
Hg1 0.125 0.125 0.125
Hg2 0.875 0.875 0.875
P1 0.079 0.079 0.671
P2 0.329 0.329 0.921
P3 0.671 0.671 0.079
P4 0.921 0.921 0.329
Pd1 0.000 0.500 0.500
Pd2 0.500 0.000 0.500
Pd3 0.500 0.500 0.000
Pd4 0.500 0.500 0.500
O1 0.019 0.251 0.503
O2 0.088 0.456 0.153
O3 0.153 0.802 0.088
O4 0.198 0.847 0.544
O5 0.251 0.019 0.727
O6 0.273 0.497 0.749
O7 0.456 0.088 0.802
O8 0.497 0.273 0.981
O9 0.503 0.727 0.019
O10 0.544 0.912 0.198
O11 0.727 0.503 0.251
O12 0.749 0.981 0.273
O13 0.802 0.153 0.456
O14 0.847 0.198 0.912
O15 0.912 0.544 0.847
O16 0.981 0.749 0.497
```

---

# 2
HgPbSO: simulated powder diffractogram (Cu Kα, 1.54184 Å), based on a DFT-relaxed cell (GGA-PBE, OQMD).

Most intense lines, 2θ = 10–90°, low angle first:
Position (°2θ)  I (rel.)
27.4  93.9
28.1  100.0
28.7  92.6
29.3  84.5
32.3  40.1
41.5  62.9
45.4  28.8
54.3  34.9
55.0  27.2
57.6  25.7

Structural model:
```
data_HgPbSO
_cell_length_a 6.099
_cell_length_b 3.992
_cell_length_c 14.898
_cell_angle_alpha 90.00
_cell_angle_beta 90.00
_cell_angle_gamma 90.00
_space_group_name_H-M_alt 'P 1'
_space_group_IT_number 1
loop_
_space_group_symop_operation_xyz
'x,y,z'
loop_
_atom_site_label
_atom_site_fract_x
_atom_site_fract_y
_atom_site_fract_z
Hg1 0.205 0.250 0.187
Hg2 0.295 0.750 0.687
Hg3 0.705 0.250 0.313
Hg4 0.795 0.750 0.813
Pb1 0.237 0.750 0.415
Pb2 0.263 0.250 0.915
Pb3 0.737 0.750 0.085
Pb4 0.763 0.250 0.585
S1 0.236 0.750 0.082
S2 0.264 0.250 0.582
S3 0.736 0.750 0.418
S4 0.764 0.250 0.918
O1 0.234 0.750 0.830
O2 0.266 0.250 0.330
O3 0.734 0.750 0.670
O4 0.766 0.250 0.170
```

---

# 3
HgPbSeO: simulated powder diffractogram (Cu Kα, 1.54184 Å), based on a DFT-relaxed cell (GGA-PBE, OQMD).

Most intense lines, 2θ = 10–90°, low angle first:
Position (°2θ)  I (rel.)
25.3  30.7
27.2  59.8
27.5  34.9
28.8  100.0
29.5  31.3
32.1  16.7
37.7  27.6
44.6  25.8
49.9  14.1
53.9  14.8

Structural model:
```
data_HgPbSeO
_cell_length_a 6.479
_cell_length_b 7.599
_cell_length_c 7.963
_cell_angle_alpha 90.00
_cell_angle_beta 90.00
_cell_angle_gamma 90.00
_space_group_name_H-M_alt 'P 1'
_space_group_IT_number 1
loop_
_space_group_symop_operation_xyz
'x,y,z'
loop_
_atom_site_label
_atom_site_fract_x
_atom_site_fract_y
_atom_site_fract_z
Hg1 0.019 0.098 0.094
Hg2 0.481 0.902 0.594
Hg3 0.519 0.402 0.906
Hg4 0.981 0.598 0.406
Pb1 0.073 0.658 0.863
Pb2 0.427 0.342 0.363
Pb3 0.573 0.842 0.137
Pb4 0.927 0.158 0.637
Se1 0.122 0.917 0.397
Se2 0.378 0.083 0.897
Se3 0.622 0.583 0.603
Se4 0.878 0.417 0.103
O1 0.129 0.356 0.513
O2 0.371 0.644 0.013
O3 0.629 0.144 0.487
O4 0.871 0.856 0.987
```

---

# 4
HgPbSeO: simulated powder diffractogram (Cu Kα, 1.54184 Å), based on a DFT-relaxed cell (GGA-PBE, OQMD).

Most intense lines, 2θ = 10–90°, low angle first:
Position (°2θ)  I (rel.)
25.3  16.3
26.7  55.5
28.3  18.7
29.0  100.0
35.2  16.9
36.5  28.5
38.3  18.4
49.1  14.6
49.8  15.2
50.5  17.5

Structural model:
```
data_HgPbSeO
_cell_length_a 6.312
_cell_length_b 7.860
_cell_length_c 7.895
_cell_angle_alpha 90.00
_cell_angle_beta 90.00
_cell_angle_gamma 90.00
_space_group_name_H-M_alt 'P 1'
_space_group_IT_number 1
loop_
_space_group_symop_operation_xyz
'x,y,z'
loop_
_atom_site_label
_atom_site_fract_x
_atom_site_fract_y
_atom_site_fract_z
Hg1 0.035 0.117 0.313
Hg2 0.465 0.883 0.813
Hg3 0.535 0.383 0.687
Hg4 0.965 0.617 0.187
Pb1 0.023 0.202 0.846
Pb2 0.477 0.798 0.346
Pb3 0.523 0.298 0.154
Pb4 0.977 0.702 0.654
Se1 0.249 0.435 0.479
Se2 0.251 0.565 0.979
Se3 0.749 0.065 0.521
Se4 0.751 0.935 0.021
O1 0.228 0.137 0.099
O2 0.272 0.863 0.599
O3 0.728 0.363 0.901
O4 0.772 0.637 0.401
```

---

# 5
TlHg3PbO4: simulated powder diffractogram (Cu Kα, 1.54184 Å), based on a DFT-relaxed cell (GGA-PBE, OQMD).

Most intense lines, 2θ = 10–90°, low angle first:
Position (°2θ)  I (rel.)
15.4  25.4
21.8  22.5
26.8  79.3
31.1  100.0
44.5  98.5
52.8  37.9
55.3  27.9
64.8  16.1
73.6  37.3
82.1  34.0

Structural model:
```
data_TlHg3PbO4
_cell_length_a 5.753
_cell_length_b 5.753
_cell_length_c 5.753
_cell_angle_alpha 90.00
_cell_angle_beta 90.00
_cell_angle_gamma 90.00
_space_group_name_H-M_alt 'P 1'
_space_group_IT_number 1
loop_
_space_group_symop_operation_xyz
'x,y,z'
loop_
_atom_site_label
_atom_site_fract_x
_atom_site_fract_y
_atom_site_fract_z
Tl1 0.000 0.000 0.000
Hg1 0.000 0.500 0.500
Hg2 0.500 0.000 0.500
Hg3 0.500 0.500 0.000
Pb1 0.500 0.500 0.500
O1 0.257 0.257 0.257
O2 0.257 0.743 0.743
O3 0.743 0.257 0.743
O4 0.743 0.743 0.257
```

---

# 6
HgPdO3: simulated powder diffractogram (Cu Kα, 1.54184 Å), based on a DFT-relaxed cell (GGA-PBE, OQMD).

Most intense lines, 2θ = 10–90°, low angle first:
Position (°2θ)  I (rel.)
19.8  22.0
30.2  100.0
33.0  95.3
35.1  27.9
45.3  36.3
49.1  15.0
51.8  15.1
57.2  35.3
58.9  25.4
64.9  19.0

Structural model:
```
data_HgPdO3
_cell_length_a 5.968
_cell_length_b 5.968
_cell_length_c 5.968
_cell_angle_alpha 54.12
_cell_angle_beta 54.12
_cell_angle_gamma 54.12
_space_group_name_H-M_alt 'P 1'
_space_group_IT_number 1
loop_
_space_group_symop_operation_xyz
'x,y,z'
loop_
_atom_site_label
_atom_site_fract_x
_atom_site_fract_y
_atom_site_fract_z
Hg1 0.127 0.127 0.127
Hg2 0.873 0.873 0.873
Pd1 0.338 0.338 0.338
Pd2 0.662 0.662 0.662
O1 0.062 0.464 0.696
O2 0.304 0.938 0.536
O3 0.464 0.696 0.062
O4 0.536 0.304 0.938
O5 0.696 0.062 0.464
O6 0.938 0.536 0.304
```

---

# 7
HgPdSO: simulated powder diffractogram (Cu Kα, 1.54184 Å), based on a DFT-relaxed cell (GGA-PBE, OQMD).

Most intense lines, 2θ = 10–90°, low angle first:
Position (°2θ)  I (rel.)
23.8  21.7
24.3  16.0
28.3  37.3
29.7  46.3
31.9  100.0
32.1  37.4
38.7  16.1
41.4  28.9
54.1  36.5
54.4  24.0

Structural model:
```
data_HgPdSO
_cell_length_a 6.304
_cell_length_b 7.324
_cell_length_c 6.025
_cell_angle_alpha 90.00
_cell_angle_beta 90.00
_cell_angle_gamma 90.00
_space_group_name_H-M_alt 'P 1'
_space_group_IT_number 1
loop_
_space_group_symop_operation_xyz
'x,y,z'
loop_
_atom_site_label
_atom_site_fract_x
_atom_site_fract_y
_atom_site_fract_z
Hg1 0.034 0.154 0.000
Hg2 0.466 0.154 0.500
Hg3 0.534 0.846 0.000
Hg4 0.966 0.846 0.500
Pd1 0.087 0.695 0.045
Pd2 0.413 0.695 0.545
Pd3 0.587 0.305 0.045
Pd4 0.913 0.305 0.545
S1 0.120 0.555 0.698
S2 0.380 0.555 0.198
S3 0.620 0.445 0.698
S4 0.880 0.445 0.198
O1 0.119 0.116 0.400
O2 0.381 0.116 0.900
O3 0.619 0.884 0.400
O4 0.881 0.884 0.900
```

---

# 8
HgPdSO: simulated powder diffractogram (Cu Kα, 1.54184 Å), based on a DFT-relaxed cell (GGA-PBE, OQMD).

Most intense lines, 2θ = 10–90°, low angle first:
Position (°2θ)  I (rel.)
12.8  20.1
25.8  79.2
28.4  47.4
30.1  80.1
38.7  51.4
41.8  100.0
48.2  33.3
56.9  29.4
67.4  18.9
70.1  16.6

Structural model:
```
data_HgPdSO
_cell_length_a 6.288
_cell_length_b 6.581
_cell_length_c 13.816
_cell_angle_alpha 90.00
_cell_angle_beta 90.00
_cell_angle_gamma 90.00
_space_group_name_H-M_alt 'P 1'
_space_group_IT_number 1
loop_
_space_group_symop_operation_xyz
'x,y,z'
loop_
_atom_site_label
_atom_site_fract_x
_atom_site_fract_y
_atom_site_fract_z
Hg1 0.002 0.011 0.249
Hg2 0.002 0.489 0.749
Hg3 0.498 0.511 0.249
Hg4 0.498 0.989 0.749
Hg5 0.502 0.011 0.251
Hg6 0.502 0.489 0.751
Hg7 0.998 0.511 0.251
Hg8 0.998 0.989 0.751
Pd1 0.014 0.237 0.991
Pd2 0.014 0.263 0.491
Pd3 0.486 0.737 0.991
Pd4 0.486 0.763 0.491
Pd5 0.514 0.237 0.509
Pd6 0.514 0.263 0.009
Pd7 0.986 0.737 0.509
Pd8 0.986 0.763 0.009
S1 0.235 0.001 0.556
S2 0.235 0.499 0.056
S3 0.265 0.501 0.556
S4 0.265 0.999 0.056
S5 0.735 0.001 0.944
S6 0.735 0.499 0.444
S7 0.765 0.501 0.944
S8 0.765 0.999 0.444
O1 0.141 0.239 0.816
O2 0.141 0.261 0.316
O3 0.359 0.739 0.816
O4 0.359 0.761 0.316
O5 0.641 0.239 0.684
O6 0.641 0.261 0.184
O7 0.859 0.739 0.684
O8 0.859 0.761 0.184
```

---

What did the fifth record say?
TlHg3PbO4: simulated powder diffractogram (Cu Kα, 1.54184 Å), based on a DFT-relaxed cell (GGA-PBE, OQMD).

Most intense lines, 2θ = 10–90°, low angle first:
Position (°2θ)  I (rel.)
15.4  25.4
21.8  22.5
26.8  79.3
31.1  100.0
44.5  98.5
52.8  37.9
55.3  27.9
64.8  16.1
73.6  37.3
82.1  34.0

Structural model:
```
data_TlHg3PbO4
_cell_length_a 5.753
_cell_length_b 5.753
_cell_length_c 5.753
_cell_angle_alpha 90.00
_cell_angle_beta 90.00
_cell_angle_gamma 90.00
_space_group_name_H-M_alt 'P 1'
_space_group_IT_number 1
loop_
_space_group_symop_operation_xyz
'x,y,z'
loop_
_atom_site_label
_atom_site_fract_x
_atom_site_fract_y
_atom_site_fract_z
Tl1 0.000 0.000 0.000
Hg1 0.000 0.500 0.500
Hg2 0.500 0.000 0.500
Hg3 0.500 0.500 0.000
Pb1 0.500 0.500 0.500
O1 0.257 0.257 0.257
O2 0.257 0.743 0.743
O3 0.743 0.257 0.743
O4 0.743 0.743 0.257
```

---

Copy entry 4 word for word.
HgPbSeO: simulated powder diffractogram (Cu Kα, 1.54184 Å), based on a DFT-relaxed cell (GGA-PBE, OQMD).

Most intense lines, 2θ = 10–90°, low angle first:
Position (°2θ)  I (rel.)
25.3  16.3
26.7  55.5
28.3  18.7
29.0  100.0
35.2  16.9
36.5  28.5
38.3  18.4
49.1  14.6
49.8  15.2
50.5  17.5

Structural model:
```
data_HgPbSeO
_cell_length_a 6.312
_cell_length_b 7.860
_cell_length_c 7.895
_cell_angle_alpha 90.00
_cell_angle_beta 90.00
_cell_angle_gamma 90.00
_space_group_name_H-M_alt 'P 1'
_space_group_IT_number 1
loop_
_space_group_symop_operation_xyz
'x,y,z'
loop_
_atom_site_label
_atom_site_fract_x
_atom_site_fract_y
_atom_site_fract_z
Hg1 0.035 0.117 0.313
Hg2 0.465 0.883 0.813
Hg3 0.535 0.383 0.687
Hg4 0.965 0.617 0.187
Pb1 0.023 0.202 0.846
Pb2 0.477 0.798 0.346
Pb3 0.523 0.298 0.154
Pb4 0.977 0.702 0.654
Se1 0.249 0.435 0.479
Se2 0.251 0.565 0.979
Se3 0.749 0.065 0.521
Se4 0.751 0.935 0.021
O1 0.228 0.137 0.099
O2 0.272 0.863 0.599
O3 0.728 0.363 0.901
O4 0.772 0.637 0.401
```